# 1
This entry pairs a crystal structure of Pa2Al9Pt3 with its computed X-ray diffraction stick pattern. Radiation: Cu Kα (weighted mean of Kα1 and Kα2). Structure: a structure optimized by DFT (GGA-PBE).
Peak positions follow from Bragg's law for the DFT cell and can differ from measured ones.

Structural model:
abc: 13.259 7.634 10.645
angles: 90.00 114.52 90.00
Space group C2/c (No. 15)
One atom of each set of equivalent atoms:
Pa1 0.168 0.084 0.250
Al1 0.000 0.375 0.250
Al2 0.060 0.084 0.929
Al3 0.104 0.314 0.749
Al4 0.104 0.416 0.063
Al5 0.226 0.416 0.430
Pt1 0.083 0.248 0.499
Pt2 0.250 0.250 0.000

Most intense lines, 2θ = 10–90°, sorted by position:
index	2theta	d_spacing	intensity
1 1 0	13.7	6.451	10
0 2 0	23.3	3.822	17
0 2 1	25.0	3.555	36
3 1 1	29.8	3.000	100
0 2 3	36.4	2.466	38
0 0 4	37.1	2.421	22
6 0 -2	40.9	2.207	59
0 2 4	44.3	2.045	11
6 2 0	51.4	1.779	18
6 0 -6	56.4	1.631	34
3 1 5	62.5	1.487	18
6 4 0	67.7	1.384	16



# 2
This entry pairs a crystal structure of Sr6ZnRu2O12 with its computed X-ray diffraction stick pattern. Radiation: Cu Kα (weighted mean of Kα1 and Kα2). Structure: a structure optimized by DFT (GGA-PBE).
Peak positions follow from Bragg's law for the DFT cell and can differ from measured ones.

Structural model:
abc: 16.941 5.659 6.909
angles: 90.00 113.98 90.00
Space group C2/m (No. 12)
One atom of each set of equivalent atoms:
Sr1 0.049 0.000 0.311
Sr2 0.114 0.500 0.017
Sr3 0.208 0.500 0.628
Zn1 0.000 0.500 0.500
Ru1 0.166 0.000 0.833
O1 0.057 0.500 0.283
O2 0.087 0.240 0.675
O3 0.115 0.000 0.050
O4 0.220 0.000 0.621
O5 0.250 0.250 0.000

Most intense lines, 2θ = 10–90°, sorted by position:
index	2theta	d_spacing	intensity
2 0 -1	14.0	6.306	18
1 1 -2	30.9	2.898	100
0 2 0	31.6	2.828	70
7 1 -2	42.4	2.133	16
4 2 -2	43.0	2.105	11
6 0 -3	43.0	2.102	15
4 2 1	45.4	2.000	38
6 2 -3	54.4	1.687	14
1 3 -2	55.9	1.646	37
2 2 -4	64.3	1.449	16
0 4 0	66.1	1.414	11
4 4 1	75.1	1.265	11



# 3
This entry pairs a crystal structure of GaBiO3 with its computed X-ray diffraction stick pattern. Radiation: Cu Kα (weighted mean of Kα1 and Kα2). Structure: a structure optimized by DFT (GGA-PBE).
Peak positions follow from Bragg's law for the DFT cell and can differ from measured ones.

Structural model:
abc: 5.502 5.194 10.117
angles: 90.00 90.00 90.00
Space group Pcca (No. 54)
One atom of each set of equivalent atoms:
Ga1 0.250 0.000 0.144
Bi1 0.250 0.500 0.391
O1 0.000 0.147 0.250
O2 0.096 0.268 0.555

Most intense lines, 2θ = 10–90°, sorted by position:
index	2theta	d_spacing	intensity
0 1 0	17.1	5.194	19
1 0 2	23.9	3.724	15
1 1 2	29.5	3.026	100
2 0 0	32.5	2.751	17
0 2 0	34.5	2.597	13
0 0 4	35.5	2.529	11
2 2 0	48.2	1.889	15
2 0 4	48.9	1.862	13
0 2 4	50.4	1.812	11
3 1 2	56.2	1.636	17
1 3 2	58.8	1.570	15
2 2 4	61.3	1.513	11



# 4
This entry pairs a crystal structure of LaY8Er5 with its computed X-ray diffraction stick pattern. Radiation: Cu Kα (weighted mean of Kα1 and Kα2). Structure: a structure optimized by DFT (GGA-PBE).
Peak positions follow from Bragg's law for the DFT cell and can differ from measured ones.

Structural model:
abc: 9.585 9.585 10.012
angles: 90.00 90.00 90.00
Space group I-4 (No. 82)
One atom of each set of equivalent atoms:
La1 0.000 0.000 0.000
Y1 0.071 0.672 0.097
Y2 0.087 0.824 0.753
Er1 0.000 0.500 0.750
Er2 0.110 0.791 0.424

Most intense lines, 2θ = 10–90°, sorted by position:
index	2theta	d_spacing	intensity
1 1 2	22.1	4.027	19
1 2 1	22.6	3.941	32
1 0 3	28.3	3.152	59
3 0 1	29.3	3.044	75
1 3 0	29.5	3.031	84
2 2 2	31.9	2.806	25
2 1 3	34.0	2.633	100
3 1 2	34.6	2.593	41
3 2 1	34.9	2.569	53
4 2 0	42.2	2.143	23
5 0 3	55.3	1.662	22
1 3 6	63.7	1.462	24



# 5
This entry pairs a crystal structure of Na2LaAg with its computed X-ray diffraction stick pattern. Radiation: Cu Kα (weighted mean of Kα1 and Kα2). Structure: a structure optimized by DFT (GGA-PBE).
Peak positions follow from Bragg's law for the DFT cell and can differ from measured ones.

Structural model:
abc: 3.3311 3.3311 35.6980
angles: 90.00 90.00 120.00
Space group R-3m (No. 166, hexagonal axes)
One atom of each set of equivalent atoms:
Na1 0.0000 0.0000 0.0979
La1 0.0000 0.0000 0.0000
Ag1 0.0000 0.0000 0.5000

Most intense lines, 2θ = 10–90°, sorted by position:
index	2theta	d_spacing	intensity
0 0 6	14.9	5.950	100
0 0 12	30.0	2.975	32
0 1 2	31.4	2.848	82
1 0 4	32.6	2.745	47
0 1 8	37.1	2.423	50
1 0 10	40.2	2.244	52
0 1 14	47.6	1.911	17
1 1 0	55.1	1.666	20
1 1 6	57.5	1.604	18
0 1 20	61.0	1.518	14
1 1 12	64.1	1.453	21
1 1 18	74.4	1.275	12



# 6
This entry pairs a crystal structure of NaNbSbO6 with its computed X-ray diffraction stick pattern. Radiation: Cu Kα (weighted mean of Kα1 and Kα2). Structure: a structure optimized by DFT (GGA-PBE).
Peak positions follow from Bragg's law for the DFT cell and can differ from measured ones.

Structural model:
abc: 5.4556 5.4556 9.9879
angles: 90.00 90.00 120.00
Space group P-31c (No. 163)
One atom of each set of equivalent atoms:
Na1 0.0000 0.0000 0.0000
Nb1 0.3333 0.6667 0.2500
Sb1 0.3333 0.6667 0.7500
O1 0.0017 0.3833 0.6411

Most intense lines, 2θ = 10–90°, sorted by position:
index	2theta	d_spacing	intensity
0 0 2	17.8	4.994	100
1 0 0	18.8	4.725	59
1 0 2	26.0	3.432	97
1 1 0	32.8	2.728	54
1 1 2	37.6	2.394	76
2 0 2	42.3	2.135	22
1 1 4	49.5	1.842	68
2 1 2	54.6	1.681	24
3 0 0	58.6	1.575	24
3 0 2	61.8	1.502	18
2 -1 6	65.7	1.421	18
4 -2 4	80.2	1.197	13



What did the fourth record say?
This entry pairs a crystal structure of LaY8Er5 with its computed X-ray diffraction stick pattern. Radiation: Cu Kα (weighted mean of Kα1 and Kα2). Structure: a structure optimized by DFT (GGA-PBE).
Peak positions follow from Bragg's law for the DFT cell and can differ from measured ones.

Structural model:
abc: 9.585 9.585 10.012
angles: 90.00 90.00 90.00
Space group I-4 (No. 82)
One atom of each set of equivalent atoms:
La1 0.000 0.000 0.000
Y1 0.071 0.672 0.097
Y2 0.087 0.824 0.753
Er1 0.000 0.500 0.750
Er2 0.110 0.791 0.424

Most intense lines, 2θ = 10–90°, sorted by position:
index	2theta	d_spacing	intensity
1 1 2	22.1	4.027	19
1 2 1	22.6	3.941	32
1 0 3	28.3	3.152	59
3 0 1	29.3	3.044	75
1 3 0	29.5	3.031	84
2 2 2	31.9	2.806	25
2 1 3	34.0	2.633	100
3 1 2	34.6	2.593	41
3 2 1	34.9	2.569	53
4 2 0	42.2	2.143	23
5 0 3	55.3	1.662	22
1 3 6	63.7	1.462	24